Starting from a cell relaxed with PBE, the powder diffractogram of TaSe3 was calculated for Cu Kα, 1.54184 Å.
Intensities are scaled so that the largest is 100.

Largest 6 diffraction maxima, by angle, 10° ≤ 2θ ≤ 80°:
2θ 18.3, intensity 64, hkl 2 0 -2; 2θ 31.5, intensity 100, hkl 2 1 -2; 2θ 33.2, intensity 78, hkl 2 1 1; 2θ 37.8, intensity 54, hkl 3 1 0; 2θ 39.5, intensity 55, hkl 2 1 -5; 2θ 43.6, intensity 78, hkl 2 1 4

Structural model:
Lattice parameters (Å, degrees): 10.3015 3.5024 15.7243 90.00 108.81 90.00
Fractional positions:
Ta  0.0340  0.2500  0.3828
Ta  0.3365  0.2500  0.0385
Ta  0.3853  0.2500  0.7077
Ta  0.6147  0.7500  0.2923
Ta  0.6635  0.7500  0.9615
Ta  0.9660  0.7500  0.6172
Se  0.0600  0.7500  0.2631
Se  0.1220  0.2500  0.5675
Se  0.1675  0.7500  0.0753
Se  0.1773  0.7500  0.9231
Se  0.2211  0.7500  0.7484
Se  0.2411  0.7500  0.4178
Se  0.4120  0.2500  0.2229
Se  0.4143  0.7500  0.5889
Se  0.4613  0.2500  0.9068
Se  0.5387  0.7500  0.0932
Se  0.5857  0.2500  0.4111
Se  0.5880  0.7500  0.7771
Se  0.7589  0.2500  0.5822
Se  0.7789  0.2500  0.2516
Se  0.8227  0.2500  0.0769
Se  0.8325  0.2500  0.9247
Se  0.8780  0.7500  0.4325
Se  0.9400  0.2500  0.7369